1.
# AlTlF5
Computed X-ray diffraction stick pattern, Cu Kα (λ = 1.5418 Å). Input: the GGA-PBE geometry in Alexandria.
Neutral-atom scattering factors, no anomalous dispersion.

Atomic structure:
Unit cell a=3.7291 b=6.8872 c=8.2727 alpha=90.00 beta=90.00 gamma=90.00
Fractional coordinates of all 14 atoms:
Al  0.0000  0.0000  0.0000
Al  0.5000  0.5000  0.5000
Tl  0.0000  0.0000  0.5000
Tl  0.5000  0.5000  0.0000
F  0.0000  0.0000  0.2157
F  0.0000  0.0000  0.7843
F  0.0000  0.2722  0.0000
F  0.0000  0.5000  0.5000
F  0.0000  0.7278  0.0000
F  0.5000  0.0000  0.0000
F  0.5000  0.2278  0.5000
F  0.5000  0.5000  0.2843
F  0.5000  0.5000  0.7157
F  0.5000  0.7722  0.5000

Most intense lines, 2θ = 5–70°, in order of rising 2θ:
2θ/deg, I/Imax
16.75, 100
21.48, 86
25.87, 54
26.21, 33
27.19, 89
34.92, 43
37.16, 66
48.85, 54
51.75, 26
52.30, 26

***

2.
# CeNd14Tl
Computed X-ray diffraction stick pattern, Cu Kα (λ = 1.5418 Å). Input: the GGA-PBE geometry in Alexandria.
Neutral-atom scattering factors, no anomalous dispersion.

Atomic structure:
Unit cell a=10.3143 b=7.2602 c=7.2602 alpha=89.99 beta=90.00 gamma=90.00
Fractional coordinates of all 16 atoms:
Ce  0.0000  0.0000  0.0000
Nd  0.0000  0.5007  0.9980
Nd  0.0000  0.9980  0.5007
Nd  0.2433  0.2501  0.2501
Nd  0.2440  0.2503  0.7491
Nd  0.2440  0.7491  0.2503
Nd  0.2446  0.7494  0.7494
Nd  0.5000  0.9997  0.9997
Nd  0.5000  0.0007  0.4991
Nd  0.5000  0.4991  0.0007
Nd  0.5000  0.4999  0.4999
Nd  0.7554  0.7494  0.7494
Nd  0.7560  0.2503  0.7491
Nd  0.7560  0.7491  0.2503
Nd  0.7567  0.2501  0.2501
Tl  0.0000  0.4995  0.4995

Most intense lines, 2θ = 5–70°, in order of rising 2θ:
2θ/deg, I/Imax
8.57, 1
30.11, 100
34.79, 17
34.96, 34
50.15, 24
50.27, 12
59.50, 14
59.71, 29
62.59, 12

***

3.
# Ta3Pd5
Computed X-ray diffraction stick pattern, Cu Kα (λ = 1.5418 Å). Input: the GGA-PBE geometry in Alexandria.
Neutral-atom scattering factors, no anomalous dispersion.

Atomic structure:
Unit cell a=5.7441 b=11.4838 c=3.9036 alpha=90.00 beta=90.00 gamma=90.00
Fractional coordinates of all 16 atoms:
Ta  0.0000  0.0000  0.0000
Ta  0.2438  0.3730  0.5000
Ta  0.2562  0.8730  0.5000
Ta  0.5000  0.5000  0.0000
Ta  0.7438  0.1270  0.5000
Ta  0.7562  0.6270  0.5000
Pd  0.0000  0.5000  0.0000
Pd  0.0013  0.2483  0.0000
Pd  0.2489  0.1247  0.5000
Pd  0.2511  0.6247  0.5000
Pd  0.4987  0.7483  0.0000
Pd  0.5000  0.0000  0.0000
Pd  0.5013  0.2517  0.0000
Pd  0.7489  0.3753  0.5000
Pd  0.7511  0.8753  0.5000
Pd  0.9987  0.7517  0.0000

Most intense lines, 2θ = 5–70°, in order of rising 2θ:
2θ/deg, I/Imax
17.26, 1
21.89, 3
28.72, 1
31.80, 3
38.94, 100
44.63, 34
46.53, 15
55.83, 1
64.95, 11
66.44, 21

***

4.
# Rb4BiO
Computed X-ray diffraction stick pattern, Cu Kα (λ = 1.5418 Å). Input: the GGA-PBE geometry in Alexandria.
Neutral-atom scattering factors, no anomalous dispersion.

Atomic structure:
Unit cell a=9.7618 b=9.7618 c=7.6156 alpha=105.44 beta=105.44 gamma=42.63
Fractional coordinates of all 12 atoms:
Rb  0.0304  0.7659  0.5597
Rb  0.2341  0.9696  0.9403
Rb  0.2450  0.3687  0.8445
Rb  0.3687  0.2450  0.3445
Rb  0.6313  0.7550  0.6555
Rb  0.7550  0.6313  0.1555
Rb  0.7659  0.0304  0.0597
Rb  0.9696  0.2341  0.4403
Bi  0.3966  0.6034  0.2500
Bi  0.6034  0.3966  0.7500
O  0.0000  0.5000  0.5000
O  0.5000  0.0000  0.0000

Most intense lines, 2θ = 5–70°, in order of rising 2θ:
2θ/deg, I/Imax
13.47, 20
25.47, 28
27.02, 37
28.55, 100
29.25, 42
36.90, 14
38.03, 12
44.44, 15
45.11, 14
48.70, 12

***

5.
# Ti9O17
Computed X-ray diffraction stick pattern, Cu Kα (λ = 1.5418 Å). Input: the GGA-PBE geometry in Alexandria.
Neutral-atom scattering factors, no anomalous dispersion.

Atomic structure:
Unit cell a=5.5718 b=7.1973 c=14.8919 alpha=96.89 beta=90.59 gamma=108.62
Fractional coordinates of all 52 atoms:
Ti  0.0000  0.0000  0.0000
Ti  0.0000  0.5000  0.0000
Ti  0.1677  0.4049  0.7731
Ti  0.1696  0.9047  0.7740
Ti  0.2524  0.4060  0.3405
Ti  0.2517  0.9015  0.3405
Ti  0.3028  0.3096  0.5398
Ti  0.3026  0.8126  0.5428
Ti  0.4108  0.7945  0.1138
Ti  0.4163  0.2957  0.1132
Ti  0.5837  0.7043  0.8868
Ti  0.5892  0.2055  0.8862
Ti  0.6974  0.1874  0.4572
Ti  0.6972  0.6904  0.4602
Ti  0.7483  0.0985  0.6595
Ti  0.7476  0.5940  0.6595
Ti  0.8304  0.0953  0.2260
Ti  0.8323  0.5951  0.2269
O  0.0435  0.8218  0.4574
O  0.0443  0.1133  0.7278
O  0.0598  0.6350  0.1265
O  0.1045  0.7599  0.6406
O  0.1254  0.2876  0.0374
O  0.1421  0.6143  0.3082
O  0.1953  0.2624  0.2242
O  0.2259  0.0345  0.8935
O  0.2839  0.6868  0.8060
O  0.2926  0.0121  0.0795
O  0.2971  0.5413  0.4789
O  0.3531  0.1859  0.4047
O  0.3581  0.6673  0.9905
O  0.3843  0.4485  0.6578
O  0.4566  0.1042  0.5708
O  0.4578  0.4120  0.8449
O  0.4806  0.9432  0.2449
O  0.5194  0.0568  0.7551
O  0.5422  0.5880  0.1551
O  0.5434  0.8958  0.4292
O  0.6157  0.5515  0.3422
O  0.6419  0.3327  0.0095
O  0.6469  0.8141  0.5953
O  0.7029  0.4587  0.5211
O  0.7074  0.9879  0.9205
O  0.7161  0.3132  0.1940
O  0.7741  0.9655  0.1065
O  0.8047  0.7376  0.7758
O  0.8579  0.3857  0.6918
O  0.8746  0.7124  0.9626
O  0.8955  0.2401  0.3594
O  0.9402  0.3650  0.8735
O  0.9557  0.8867  0.2722
O  0.9565  0.1782  0.5426

Most intense lines, 2θ = 5–70°, in order of rising 2θ:
2θ/deg, I/Imax
24.09, 41
26.43, 63
27.90, 77
28.80, 100
35.61, 40
35.88, 34
40.64, 33
53.40, 54
54.26, 30
55.64, 42

***

6.
# Hf3Fe2Si4
Computed X-ray diffraction stick pattern, Cu Kα (λ = 1.5418 Å). Input: the GGA-PBE geometry in Alexandria.
Neutral-atom scattering factors, no anomalous dispersion.

Atomic structure:
Unit cell a=5.2723 b=5.2723 c=7.4948 alpha=107.42 beta=107.42 gamma=43.70
Fractional coordinates of all 9 atoms:
Hf  0.0000  0.0000  0.0000
Hf  0.3732  0.3732  0.3074
Hf  0.6268  0.6268  0.6926
Fe  0.3139  0.3139  0.6373
Fe  0.6861  0.6861  0.3627
Si  0.0898  0.0898  0.4032
Si  0.2849  0.2849  0.9243
Si  0.7151  0.7151  0.0757
Si  0.9102  0.9102  0.5968

Most intense lines, 2θ = 5–70°, in order of rising 2θ:
2θ/deg, I/Imax
26.20, 100
26.26, 19
35.95, 26
36.70, 22
37.04, 60
37.71, 46
38.05, 32
38.99, 18
46.29, 53
61.40, 16

***

7.
# RbCa2AlCl8
Computed X-ray diffraction stick pattern, Cu Kα (λ = 1.5418 Å). Input: the GGA-PBE geometry in Alexandria.
Neutral-atom scattering factors, no anomalous dispersion.

Atomic structure:
Unit cell a=6.2040 b=8.6331 c=6.3821 alpha=90.00 beta=91.82 gamma=90.00
Fractional coordinates of all 12 atoms:
Rb  0.0000  0.0000  0.0000
Ca  0.5000  0.2578  0.5000
Ca  0.5000  0.7422  0.5000
Al  0.0000  0.5000  0.0000
Cl  0.2123  0.3111  0.1602
Cl  0.2123  0.6889  0.1602
Cl  0.2502  0.5000  0.6968
Cl  0.2735  0.0000  0.6105
Cl  0.7265  0.0000  0.3895
Cl  0.7498  0.5000  0.3032
Cl  0.7877  0.3111  0.8398
Cl  0.7877  0.6889  0.8398

Most intense lines, 2θ = 5–70°, in order of rising 2θ:
2θ/deg, I/Imax
19.65, 100
20.29, 85
25.14, 53
28.60, 46
29.05, 70
31.11, 61
37.60, 35
38.08, 56
38.78, 73
47.68, 49

***

8.
# Li3CeAg3
Computed X-ray diffraction stick pattern, Cu Kα (λ = 1.5418 Å). Input: the GGA-PBE geometry in Alexandria.
Neutral-atom scattering factors, no anomalous dispersion.

Atomic structure:
Unit cell a=6.8445 b=6.8445 c=6.8445 alpha=90.00 beta=90.00 gamma=90.00
Fractional coordinates of all 14 atoms:
Li  0.0000  0.2500  0.5000
Li  0.0000  0.7500  0.5000
Li  0.2500  0.5000  0.0000
Li  0.5000  0.0000  0.2500
Li  0.5000  0.0000  0.7500
Li  0.7500  0.5000  0.0000
Ce  0.0000  0.0000  0.0000
Ce  0.5000  0.5000  0.5000
Ag  0.0000  0.5000  0.2500
Ag  0.0000  0.5000  0.7500
Ag  0.2500  0.0000  0.5000
Ag  0.5000  0.2500  0.0000
Ag  0.5000  0.7500  0.0000
Ag  0.7500  0.0000  0.5000

Most intense lines, 2θ = 5–70°, in order of rising 2θ:
2θ/deg, I/Imax
26.04, 43
29.17, 90
32.03, 100
45.93, 8
47.92, 22
49.85, 57
53.56, 21
60.49, 16
62.15, 19
63.78, 13